Computed powder X-ray diffraction pattern
Compound: PaInNO
Radiation: Cu Kα, 1.54184 Å
Structure: a DFT-relaxed cell (GGA-PBE, OQMD)
No peak broadening, texture or thermal motion is included.

Most intense lines, 2θ from 10° to 90°, by angle:
| 2θ/deg | Rel. int. |
| --- | --- |
| 10.3 | 14 |
| 24.1 | 12 |
| 30.2 | 100 |
| 30.8 | 24 |
| 31.0 | 24 |
| 44.2 | 20 |
| 53.3 | 12 |
| 54.4 | 21 |
| 54.6 | 20 |
| 62.8 | 12 |

Structure:
abc: 5.8091 8.5641 5.7768
angles: 90.00 90.00 90.00
Fractional positions:
1 Pa 0.0086 0.1314 0.0000
2 Pa 0.4914 0.1314 0.5000
3 Pa 0.5086 0.8686 0.0000
4 Pa 0.9914 0.8686 0.5000
5 In 0.0062 0.6303 0.9876
6 In 0.4938 0.6303 0.4876
7 In 0.5062 0.3697 0.9876
8 In 0.9938 0.3697 0.4876
9 N 0.2448 0.9931 0.2477
10 N 0.2552 0.9931 0.7477
11 N 0.7448 0.0069 0.2477
12 N 0.7552 0.0069 0.7477
13 O 0.1084 0.6060 0.5855
14 O 0.3916 0.6060 0.0855
15 O 0.6084 0.3940 0.5855
16 O 0.8916 0.3940 0.0855

***

Computed powder X-ray diffraction pattern
Compound: HfZr2Os3
Radiation: Cu Kα, 1.54184 Å
Structure: a DFT-relaxed cell (GGA-PBE, OQMD)
No peak broadening, texture or thermal motion is included.

Most intense lines, 2θ from 10° to 90°, by angle:
| 2θ/deg | Rel. int. |
| --- | --- |
| 18.1 | 1 |
| 27.3 | 6 |
| 28.8 | 1 |
| 38.9 | 100 |
| 48.2 | 2 |
| 56.2 | 17 |
| 63.6 | 2 |
| 70.5 | 35 |
| 83.6 | 11 |
| 90.0 | 1 |

Structure:
abc: 3.2697 3.2697 9.8201
angles: 90.00 90.00 90.00
Fractional positions:
1 Hf 0.0000 0.0000 0.0000
2 Zr 0.0000 0.0000 0.3325
3 Zr 0.0000 0.0000 0.6675
4 Os 0.5000 0.5000 0.1638
5 Os 0.5000 0.5000 0.5000
6 Os 0.5000 0.5000 0.8362

***

Computed powder X-ray diffraction pattern
Compound: Sc2ZnCd2AgAu2
Radiation: Cu Kα, 1.54184 Å
Structure: a DFT-relaxed cell (GGA-PBE, OQMD)
No peak broadening, texture or thermal motion is included.

Most intense lines, 2θ from 10° to 90°, by angle:
| 2θ/deg | Rel. int. |
| --- | --- |
| 22.9 | 19 |
| 26.5 | 10 |
| 37.9 | 100 |
| 44.8 | 10 |
| 54.7 | 17 |
| 60.0 | 4 |
| 61.8 | 4 |
| 68.4 | 34 |
| 81.0 | 11 |
| 85.5 | 4 |

Structure:
abc: 4.7505 4.7505 6.7114
angles: 90.00 90.00 90.00
Fractional positions:
1 Sc 0.0000 0.5000 0.2458
2 Sc 0.5000 0.0000 0.7542
3 Zn 0.0000 0.0000 0.0000
4 Cd 0.0000 0.5000 0.7517
5 Cd 0.5000 0.0000 0.2483
6 Ag 0.5000 0.5000 0.5000
7 Au 0.0000 0.0000 0.5000
8 Au 0.5000 0.5000 0.0000

***

Computed powder X-ray diffraction pattern
Compound: Bi2AuO5
Radiation: Cu Kα, 1.54184 Å
Structure: a DFT-relaxed cell (GGA-PBE, OQMD)
No peak broadening, texture or thermal motion is included.

Most intense lines, 2θ from 10° to 90°, by angle:
| 2θ/deg | Rel. int. |
| --- | --- |
| 27.6 | 100 |
| 32.4 | 18 |
| 32.6 | 56 |
| 34.0 | 13 |
| 38.6 | 12 |
| 45.8 | 12 |
| 46.8 | 15 |
| 52.6 | 39 |
| 54.8 | 15 |
| 59.5 | 21 |

Structure:
abc: 8.6774 8.6774 5.8305
angles: 90.00 90.00 90.00
Fractional positions:
1 Bi 0.1019 0.6019 0.2500
2 Bi 0.1019 0.8981 0.7500
3 Bi 0.3981 0.6019 0.7500
4 Bi 0.3981 0.8981 0.2500
5 Bi 0.6019 0.1019 0.7500
6 Bi 0.6019 0.3981 0.2500
7 Bi 0.8981 0.1019 0.2500
8 Bi 0.8981 0.3981 0.7500
9 Au 0.2500 0.2500 0.0974
10 Au 0.2500 0.2500 0.5974
11 Au 0.7500 0.7500 0.4026
12 Au 0.7500 0.7500 0.9026
13 O 0.0346 0.1674 0.6125
14 O 0.0346 0.3326 0.1125
15 O 0.1674 0.0346 0.1125
16 O 0.1674 0.4654 0.6125
17 O 0.2500 0.7500 0.0000
18 O 0.2500 0.7500 0.5000
19 O 0.3326 0.0346 0.6125
20 O 0.3326 0.4654 0.1125
21 O 0.4654 0.1674 0.1125
22 O 0.4654 0.3326 0.6125
23 O 0.5346 0.6674 0.3875
24 O 0.5346 0.8326 0.8875
25 O 0.6674 0.5346 0.8875
26 O 0.6674 0.9654 0.3875
27 O 0.7500 0.2500 0.0000
28 O 0.7500 0.2500 0.5000
29 O 0.8326 0.5346 0.3875
30 O 0.8326 0.9654 0.8875
31 O 0.9654 0.6674 0.8875
32 O 0.9654 0.8326 0.3875